# LiVFeP2H2O10
Simulated X-ray powder pattern, Cu Ka. Input: the GGA+U geometry in Alexandria.
Kinematic intensities with the Lorentz-polarization factor, no thermal factor.

Peak list (10 most intense, 15 to 90 degrees two-theta, in order of rising 2θ)
| 2θ (°) | d [Å] | I/Imax | index |
| --- | --- | --- | --- |
| 16.16 | 5.484 | 100.0 | 0 1 0 |
| 20.57 | 4.319 | 36.8 | 1 0 1 |
| 23.27 | 3.823 | 75.7 | 1 0 -1 |
| 24.02 | 3.704 | 52.5 | 1 1 0 |
| 25.56 | 3.485 | 67.1 | -1 1 1 |
| 30.26 | 2.954 | 54.4 | 1 0 2 |
| 30.97 | 2.888 | 23.0 | 0 2 1 |
| 32.66 | 2.742 | 24.7 | 0 2 0 |
| 35.17 | 2.552 | 29.6 | 1 2 1 |
| 38.44 | 2.342 | 21.0 | 1 -1 2 |

Cell and atoms:
```
data_LiVFeP2H2O10
_chemical_formula_sum 'Li1 V1 Fe1 P2 H2 O10'
_space_group_name_H-M_alt 'P 1'
_space_group_IT_number 1
_cell_length_a 5.1575
_cell_length_b 5.8017
_cell_length_c 7.0609
_cell_angle_alpha 70.98
_cell_angle_beta 82.78
_cell_angle_gamma 88.71
loop_
_space_group_symop_operation_xyz
'x,y,z'
loop_
_atom_site_label
_atom_site_type_symbol
_atom_site_fract_x
_atom_site_fract_y
_atom_site_fract_z
_atom_site_occupancy
Li1 Li 0.0000 0.0000 0.0000 1
V1 V 0.5738 0.6190 0.2135 1
Fe1 Fe 0.1248 0.5177 0.8936 1
P1 P 0.4601 0.1892 0.2221 1
P2 P 0.9975 0.5201 0.5402 1
H1 H 0.3908 0.0306 0.5597 1
H2 H 0.6953 0.8221 0.7326 1
O1 O 0.0674 0.2988 0.7225 1
O2 O 0.2267 0.5952 0.3643 1
O3 O 0.2398 0.2193 0.0783 1
O4 O 0.2983 0.0706 0.4372 1
O5 O 0.3870 0.7352 0.9420 1
O6 O 0.5389 0.9146 0.7715 1
O7 O 0.6547 0.9949 0.1805 1
O8 O 0.7419 0.4811 0.4639 1
O9 O 0.8653 0.6304 0.0556 1
O10 O 0.9666 0.7199 0.6473 1
```